Tb2Nd2Te2Se3: theoretical XRD peak list (Cu Kα (weighted mean of Kα1 and Kα2)), based on a crystal structure in Alexandria, relaxed with GGA-PBE.

Cell and atoms:
```
data_Tb2Nd2Te2Se3
_chemical_formula_sum 'Tb4 Nd4 Te4 Se6'
_cell_length_a 5.646
_cell_length_b 5.646
_cell_length_c 16.017
_cell_angle_alpha 90.00
_cell_angle_beta 90.00
_cell_angle_gamma 90.00
_space_group_name_H-M_alt 'I 4/m m m'
_space_group_IT_number 139
_space_group_name_Hall '-I 4 2'
loop_
_atom_site_label
_atom_site_fract_x
_atom_site_fract_y
_atom_site_fract_z
Tb1 0.000 0.500 0.000
Nd1 0.000 0.000 0.194
Te1 0.000 0.000 0.395
Se1 0.000 0.000 0.000
Se2 0.000 0.500 0.250
```

Principal peaks in the range 2θ = 10–90°, most intense first:
- 2θ = 31.68°, rel. 100, hkl 2 0 0
- 2θ = 32.12°, rel. 39, hkl 1 0 5
- 2θ = 45.75°, rel. 29, hkl 2 1 5
- 2θ = 45.43°, rel. 24, hkl 2 2 0
- 2θ = 56.40°, rel. 17, hkl 3 1 4
- 2θ = 75.26°, rel. 14, hkl 4 2 0
- 2θ = 22.21°, rel. 13, hkl 0 0 4
- 2θ = 51.06°, rel. 12, hkl 1 1 8
- 2θ = 24.92°, rel. 11, hkl 1 1 2
- 2θ = 66.45°, rel. 9, hkl 3 2 5